Theoretical X-ray diffraction stick pattern
Compound: Sm2Th2GeIr4
Radiation: copper Kα
Structure: the PBE geometry in Alexandria
Neutral-atom scattering factors, no anomalous dispersion.

Top 10 peaks for 10° ≤ 2θ ≤ 80°, low angle first:
| index | 2θ/deg | I_rel |
| --- | --- | --- |
| 1 0 3 | 31.27 | 12 |
| 2 0 2 | 33.21 | 100 |
| 0 0 4 | 37.71 | 14 |
| 2 2 0 | 38.94 | 47 |
| 2 1 3 | 41.96 | 20 |
| 3 0 3 | 50.76 | 9 |
| 2 2 4 | 55.32 | 18 |
| 4 0 0 | 56.25 | 16 |
| 4 2 2 | 66.91 | 25 |
| 4 0 4 | 69.72 | 9 |

Crystal structure
```
data_Sm2Th2GeIr4
_chemical_formula_sum 'Sm4 Th4 Ge2 Ir8'
_space_group_name_H-M_alt 'I 4/m m m'
_space_group_IT_number 139
_space_group_name_Hall '-I 4 2'
_cell_length_a 6.541
_cell_length_b 6.541
_cell_length_c 9.543
_cell_angle_alpha 90.00
_cell_angle_beta 90.00
_cell_angle_gamma 90.00
loop_
_atom_site_label
_atom_site_type_symbol
_atom_site_fract_x
_atom_site_fract_y
_atom_site_fract_z
Sm1 Sm 0.000 0.500 0.250
Th1 Th 0.000 0.000 0.189
Ge1 Ge 0.000 0.000 0.500
Ir1 Ir 0.235 0.235 0.000
```

Theoretical X-ray diffraction stick pattern
Compound: Cs4HoPa3S12
Radiation: copper Kα
Structure: the PBE geometry in Alexandria
Neutral-atom scattering factors, no anomalous dispersion.

Top 10 peaks for 10° ≤ 2θ ≤ 80°, low angle first:
| index | 2θ/deg | I_rel |
| --- | --- | --- |
| 2 0 0 | 16.64 | 16 |
| 2 2 0 | 23.62 | 100 |
| 4 0 0 | 33.65 | 42 |
| 4 2 0 | 37.76 | 8 |
| 4 2 2 | 41.53 | 47 |
| 4 4 0 | 48.33 | 30 |
| 6 2 0 | 54.47 | 22 |
| 4 4 4 | 60.18 | 10 |
| 6 4 2 | 65.58 | 25 |
| 6 6 0 | 75.76 | 12 |

Crystal structure
```
data_Cs4HoPa3S12
_chemical_formula_sum 'Cs8 Ho2 Pa6 S24'
_space_group_name_H-M_alt 'I m -3 m'
_space_group_IT_number 229
_space_group_name_Hall '-I 4 2 3'
_cell_length_a 10.653
_cell_length_b 10.653
_cell_length_c 10.653
_cell_angle_alpha 90.00
_cell_angle_beta 90.00
_cell_angle_gamma 90.00
loop_
_atom_site_label
_atom_site_type_symbol
_atom_site_fract_x
_atom_site_fract_y
_atom_site_fract_z
Cs1 Cs 0.250 0.250 0.250
Ho1 Ho 0.000 0.000 0.000
Pa1 Pa 0.000 0.000 0.500
S1 S 0.000 0.000 0.257
S2 S 0.000 0.250 0.500
```

Theoretical X-ray diffraction stick pattern
Compound: Ag4IBr7
Radiation: copper Kα
Structure: the PBE geometry in Alexandria
Neutral-atom scattering factors, no anomalous dispersion.

Top 10 peaks for 10° ≤ 2θ ≤ 80°, low angle first:
| index | 2θ/deg | I_rel |
| --- | --- | --- |
| 2 2 0 | 17.91 | 36 |
| 0 2 1 | 19.02 | 79 |
| 3 1 1 | 19.38 | 22 |
| 4 2 0 | 24.05 | 28 |
| 1 1 2 | 24.23 | 51 |
| 3 1 2 | 27.57 | 18 |
| 7 1 1 | 35.37 | 20 |
| 5 3 2 | 40.19 | 100 |
| 0 0 4 | 45.84 | 23 |
| 10 0 0 | 47.18 | 24 |

Crystal structure
```
data_Ag4IBr7
_chemical_formula_sum 'Ag16 I4 Br28'
_space_group_name_H-M_alt 'C m c m'
_space_group_IT_number 63
_space_group_name_Hall '-C 2c 2'
_cell_length_a 19.283
_cell_length_b 11.548
_cell_length_c 7.918
_cell_angle_alpha 90.00
_cell_angle_beta 90.00
_cell_angle_gamma 90.00
loop_
_atom_site_label
_atom_site_type_symbol
_atom_site_fract_x
_atom_site_fract_y
_atom_site_fract_z
Ag1 Ag 0.093 0.158 0.250
Ag2 Ag 0.208 0.500 0.000
I1 I 0.000 0.333 0.750
Br1 Br 0.000 0.003 0.750
Br2 Br 0.100 0.327 0.001
Br3 Br 0.231 0.110 0.250
```